Record 1
The following is a theoretical XRD peak list of Ho2ReN5. It was derived from the GGA-PBE geometry in Alexandria, using CuKα.

Structure:
```
data_Ho2ReN5
_chemical_formula_sum 'Ho8 Re4 N20'
_space_group_name_H-M_alt 'C m c m'
_space_group_IT_number 63
_space_group_name_Hall '-C 2c 2'
_cell_length_a 3.9078
_cell_length_b 11.8574
_cell_length_c 10.8230
_cell_angle_alpha 90.00
_cell_angle_beta 90.00
_cell_angle_gamma 90.00
loop_
_atom_site_label
_atom_site_type_symbol
_atom_site_fract_x
_atom_site_fract_y
_atom_site_fract_z
Ho1 Ho 0.0000 0.1470 0.0679
Re1 Re 0.0000 0.1435 0.7500
N1 N 0.0000 0.0456 0.6248
N2 N 0.0000 0.2750 0.5972
N3 N 0.0000 0.2937 0.2500
```

Main lines, low angle first (2θ = 15–90°):
2theta  intensity
23.98  75
28.97  100
30.15  31
32.21  60
34.68  65
39.34  16
46.48  19
51.72  48
55.70  32
61.26  17

=====

Record 2
The following is a theoretical XRD peak list of NpNbMo2. It was derived from the GGA-PBE geometry in Alexandria, using CuKα.

Structure:
```
data_NpNbMo2
_chemical_formula_sum 'Np1 Nb1 Mo2'
_space_group_name_H-M_alt 'P 4/m m m'
_space_group_IT_number 123
_space_group_name_Hall '-P 4 2'
_cell_length_a 3.2855
_cell_length_b 3.2855
_cell_length_c 6.5893
_cell_angle_alpha 90.00
_cell_angle_beta 90.00
_cell_angle_gamma 90.00
loop_
_atom_site_label
_atom_site_type_symbol
_atom_site_fract_x
_atom_site_fract_y
_atom_site_fract_z
Np1 Np 0.0000 0.0000 0.0000
Nb1 Nb 0.0000 0.0000 0.5000
Mo1 Mo 0.5000 0.5000 0.2518
```

Main lines, low angle first (2θ = 15–90°):
2theta  intensity
27.12  8
30.40  9
38.72  100
41.20  4
55.81  6
55.98  11
70.02  12
70.13  23
83.02  7
83.16  4

=====

Record 3
The following is a theoretical XRD peak list of AcTb7Ho2. It was derived from the GGA-PBE geometry in Alexandria, using CuKα.

Structure:
```
data_AcTb7Ho2
_chemical_formula_sum 'Ac2 Tb14 Ho4'
_space_group_name_H-M_alt 'I m m m'
_space_group_IT_number 71
_space_group_name_Hall '-I 2 2'
_cell_length_a 5.4865
_cell_length_b 7.1173
_cell_length_c 16.9113
_cell_angle_alpha 90.00
_cell_angle_beta 90.00
_cell_angle_gamma 90.00
loop_
_atom_site_label
_atom_site_type_symbol
_atom_site_fract_x
_atom_site_fract_y
_atom_site_fract_z
Ac1 Ac 0.0000 0.0000 0.0000
Tb1 Tb 0.0000 0.0000 0.2033
Tb2 Tb 0.0000 0.2454 0.3887
Tb3 Tb 0.0000 0.5000 0.0000
Ho1 Ho 0.0000 0.5000 0.1994
```

Main lines, low angle first (2θ = 15–90°):
2theta  intensity
30.40  91
31.06  100
32.64  46
32.90  47
47.02  35
56.86  16
57.27  18
57.99  21
61.24  29
80.50  16

=====

Record 4
The following is a theoretical XRD peak list of Ac4HoEr3Se8. It was derived from the GGA-PBE geometry in Alexandria, using CuKα.

Structure:
```
data_Ac4HoEr3Se8
_chemical_formula_sum 'Ac12 Ho3 Er9 Se24'
_space_group_name_H-M_alt 'R -3 m'
_space_group_IT_number 166
_space_group_name_Hall '-R 3 2"'
_cell_length_a 8.2366
_cell_length_b 8.2366
_cell_length_c 22.2612
_cell_angle_alpha 90.00
_cell_angle_beta 90.00
_cell_angle_gamma 120.00
loop_
_atom_site_label
_atom_site_type_symbol
_atom_site_fract_x
_atom_site_fract_y
_atom_site_fract_z
Ac1 Ac 0.0000 0.0000 0.0000
Ac2 Ac 0.0000 0.5000 0.0000
Ho1 Ho 0.0000 0.0000 0.5000
Er1 Er 0.0000 0.5000 0.5000
Se1 Se 0.0000 0.0000 0.2382
Se2 Se 0.0011 0.5006 0.7616
```

Main lines, low angle first (2θ = 15–90°):
2theta  intensity
23.98  11
26.24  24
29.75  100
41.14  39
43.97  35
54.00  19
61.79  12
68.02  16
72.09  16
78.91  12

=====

Record 5
The following is a theoretical XRD peak list of LaTbZnNi. It was derived from the GGA-PBE geometry in Alexandria, using CuKα.

Structure:
```
data_LaTbZnNi
_chemical_formula_sum 'La4 Tb4 Zn4 Ni4'
_space_group_name_H-M_alt 'F -4 3 m'
_space_group_IT_number 216
_space_group_name_Hall 'F -4 2 3'
_cell_length_a 7.1593
_cell_length_b 7.1593
_cell_length_c 7.1593
_cell_angle_alpha 90.00
_cell_angle_beta 90.00
_cell_angle_gamma 90.00
loop_
_atom_site_label
_atom_site_type_symbol
_atom_site_fract_x
_atom_site_fract_y
_atom_site_fract_z
La1 La 0.0000 0.0000 0.0000
Tb1 Tb 0.0000 0.0000 0.5000
Zn1 Zn 0.2500 0.2500 0.7500
Ni1 Ni 0.2500 0.2500 0.2500
```

Main lines, low angle first (2θ = 15–90°):
2theta  intensity
21.50  1
24.87  16
35.46  100
43.80  5
51.03  17
57.58  7
63.68  35
75.05  11
80.49  4
85.85  15

=====

Record 6
The following is a theoretical XRD peak list of PuU3Tc2. It was derived from the GGA-PBE geometry in Alexandria, using CuKα.

Structure:
```
data_PuU3Tc2
_chemical_formula_sum 'Pu2 U6 Tc4'
_space_group_name_H-M_alt 'C 1 m 1'
_space_group_IT_number 8
_cell_length_a 10.0452
_cell_length_b 4.4290
_cell_length_c 5.8957
_cell_angle_alpha 90.00
_cell_angle_beta 125.01
_cell_angle_gamma 90.00
loop_
_space_group_symop_operation_xyz
'x,y,z'
'x,-y,z'
'x+1/2,y+1/2,z'
'x+1/2,-y+1/2,z'
loop_
_atom_site_label
_atom_site_type_symbol
_atom_site_fract_x
_atom_site_fract_y
_atom_site_fract_z
Pu1 Pu 0.0000 0.0000 0.0000
U1 U 0.0184 0.0000 0.4340
U2 U 0.1469 0.5000 0.0534
U3 U 0.2120 0.5000 0.5622
Tc1 Tc 0.3127 0.0000 0.9945
Tc2 Tc 0.3716 0.0000 0.5259
```

Main lines, low angle first (2θ = 15–90°):
2theta  intensity
22.80  25
30.32  26
33.55  36
37.24  49
38.42  74
38.61  100
40.75  54
49.51  18
51.62  17
56.38  30

=====

Record 7
The following is a theoretical XRD peak list of Na2Cd3Sn2. It was derived from the GGA-PBE geometry in Alexandria, using CuKα.

Structure:
```
data_Na2Cd3Sn2
_chemical_formula_sum 'Na4 Cd6 Sn4'
_space_group_name_H-M_alt 'C 1 2/m 1'
_space_group_IT_number 12
_cell_length_a 11.7472
_cell_length_b 4.6843
_cell_length_c 7.7858
_cell_angle_alpha 90.00
_cell_angle_beta 116.68
_cell_angle_gamma 90.00
loop_
_space_group_symop_operation_xyz
'x,y,z'
'-x,-y,-z'
'-x,y,-z'
'x,-y,z'
'x+1/2,y+1/2,z'
'-x+1/2,-y+1/2,-z'
'-x+1/2,y+1/2,-z'
'x+1/2,-y+1/2,z'
loop_
_atom_site_label
_atom_site_type_symbol
_atom_site_fract_x
_atom_site_fract_y
_atom_site_fract_z
Na1 Na 0.1469 0.0000 0.2819
Cd1 Cd 0.0000 0.5000 0.5000
Cd2 Cd 0.0952 0.5000 0.9338
Sn1 Sn 0.1476 0.0000 0.7271
```

Main lines, low angle first (2θ = 15–90°):
2theta  intensity
15.95  100
22.32  36
30.00  38
31.93  49
33.05  52
36.14  92
38.43  53
38.58  36
40.72  36
43.56  52

=====

Record 8
The following is a theoretical XRD peak list of BaLi10Ac. It was derived from the GGA-PBE geometry in Alexandria, using CuKα.

Structure:
```
data_BaLi10Ac
_chemical_formula_sum 'Ba1 Li10 Ac1'
_space_group_name_H-M_alt 'P m m m'
_space_group_IT_number 47
_cell_length_a 4.6294
_cell_length_b 6.3440
_cell_length_c 10.9294
_cell_angle_alpha 90.00
_cell_angle_beta 90.00
_cell_angle_gamma 90.00
loop_
_space_group_symop_operation_xyz
'x,y,z'
'-x,-y,-z'
'-x,-y,z'
'x,y,-z'
'x,-y,-z'
'-x,y,z'
'-x,y,-z'
'x,-y,z'
loop_
_atom_site_label
_atom_site_type_symbol
_atom_site_fract_x
_atom_site_fract_y
_atom_site_fract_z
Ba1 Ba 0.0000 0.0000 0.0000
Li1 Li 0.0000 0.0000 0.3382
Li2 Li 0.0000 0.5000 0.1722
Li3 Li 0.5000 0.0000 0.5000
Li4 Li 0.5000 0.2591 0.2620
Li5 Li 0.5000 0.5000 0.0000
Ac1 Ac 0.0000 0.5000 0.5000
```

Main lines, low angle first (2θ = 15–90°):
2theta  intensity
16.18  100
19.17  24
25.18  82
28.25  22
32.64  16
34.33  44
38.13  15
42.39  18
48.19  19
48.75  15

=====

Record 9
The following is a theoretical XRD peak list of Ce4FeGe8. It was derived from the GGA-PBE geometry in Alexandria, using CuKα.

Structure:
```
data_Ce4FeGe8
_chemical_formula_sum 'Ce4 Fe1 Ge8'
_space_group_name_H-M_alt 'P m m 2'
_space_group_IT_number 25
_cell_length_a 4.0813
_cell_length_b 4.1805
_cell_length_c 16.2391
_cell_angle_alpha 90.00
_cell_angle_beta 90.00
_cell_angle_gamma 90.00
loop_
_space_group_symop_operation_xyz
'x,y,z'
'-x,-y,z'
'-x,y,z'
'x,-y,z'
loop_
_atom_site_label
_atom_site_type_symbol
_atom_site_fract_x
_atom_site_fract_y
_atom_site_fract_z
Ce1 Ce 0.0000 0.0000 0.0000
Ce2 Ce 0.0000 0.5000 0.4959
Ce3 Ce 0.5000 0.0000 0.7841
Ce4 Ce 0.5000 0.5000 0.2858
Fe1 Fe 0.0000 0.5000 0.7030
Ge1 Ge 0.0000 0.0000 0.3383
Ge2 Ge 0.0000 0.0000 0.6315
Ge3 Ge 0.0000 0.5000 0.1426
Ge4 Ge 0.0000 0.5000 0.8470
Ge5 Ge 0.5000 0.0000 0.1439
Ge6 Ge 0.5000 0.0000 0.4415
Ge7 Ge 0.5000 0.5000 0.6307
Ge8 Ge 0.5000 0.5000 0.9466
```

Main lines, low angle first (2θ = 15–90°):
2theta  intensity
24.41  11
26.95  10
33.10  12
34.92  100
39.97  16
43.29  16
44.39  15
55.50  13
60.36  12
63.74  10

=====

Record 10
The following is a theoretical XRD peak list of Cd5HgAu. It was derived from the GGA-PBE geometry in Alexandria, using CuKα.

Structure:
```
data_Cd5HgAu
_chemical_formula_sum 'Cd20 Hg4 Au4'
_space_group_name_H-M_alt 'I m m a'
_space_group_IT_number 74
_space_group_name_Hall '-I 2b 2'
_cell_length_a 8.7065
_cell_length_b 9.3374
_cell_length_c 7.9483
_cell_angle_alpha 90.00
_cell_angle_beta 90.00
_cell_angle_gamma 90.00
loop_
_atom_site_label
_atom_site_type_symbol
_atom_site_fract_x
_atom_site_fract_y
_atom_site_fract_z
Cd1 Cd 0.0000 0.2500 0.1947
Cd2 Cd 0.2014 0.2500 0.5046
Cd3 Cd 0.2500 0.0032 0.2500
Hg1 Hg 0.0000 0.2500 0.8211
Au1 Au 0.0000 0.0000 0.5000
```

Main lines, low angle first (2θ = 15–90°):
2theta  intensity
15.09  12
24.36  25
35.41  24
36.15  100
38.23  33
38.57  29
41.49  17
53.35  15
57.93  12
68.21  17

=====

Record 11
The following is a theoretical XRD peak list of Li2MgNb. It was derived from the GGA-PBE geometry in Alexandria, using CuKα.

Structure:
```
data_Li2MgNb
_chemical_formula_sum 'Li6 Mg3 Nb3'
_space_group_name_H-M_alt 'R -3 m'
_space_group_IT_number 166
_space_group_name_Hall '-R 3 2"'
_cell_length_a 2.8599
_cell_length_b 2.8599
_cell_length_c 32.5448
_cell_angle_alpha 90.00
_cell_angle_beta 90.00
_cell_angle_gamma 120.00
loop_
_atom_site_label
_atom_site_type_symbol
_atom_site_fract_x
_atom_site_fract_y
_atom_site_fract_z
Li1 Li 0.0000 0.0000 0.0859
Mg1 Mg 0.0000 0.0000 0.5000
Nb1 Nb 0.0000 0.0000 0.0000
```

Main lines, low angle first (2θ = 15–90°):
2theta  intensity
16.34  100
24.62  15
33.03  24
36.38  20
36.70  50
37.98  38
42.74  28
46.05  27
54.11  15
75.10  12

=====

Record 12
The following is a theoretical XRD peak list of NaSrLa. It was derived from the GGA-PBE geometry in Alexandria, using CuKα.

Structure:
```
data_NaSrLa
_chemical_formula_sum 'Na1 Sr1 La1'
_space_group_name_H-M_alt 'P 3 m 1'
_space_group_IT_number 156
_cell_length_a 3.8868
_cell_length_b 3.8868
_cell_length_c 9.7664
_cell_angle_alpha 90.00
_cell_angle_beta 90.00
_cell_angle_gamma 120.00
loop_
_space_group_symop_operation_xyz
'x,y,z'
'-y,x-y,z'
'-x+y,-x,z'
'-y,-x,z'
'-x+y,y,z'
'x,x-y,z'
loop_
_atom_site_label
_atom_site_type_symbol
_atom_site_fract_x
_atom_site_fract_y
_atom_site_fract_z
Na1 Na 0.0000 0.0000 0.0000
Sr1 Sr 0.3333 0.6667 0.6553
La1 La 0.6667 0.3333 0.3225
```

Main lines, low angle first (2θ = 15–90°):
2theta  intensity
26.48  15
27.40  31
28.04  100
32.30  70
45.92  25
46.74  21
54.30  16
55.03  26
55.40  15
57.96  13

=====

Record 13
The following is a theoretical XRD peak list of ScHRh. It was derived from the GGA-PBE geometry in Alexandria, using CuKα.

Structure:
```
data_ScHRh
_chemical_formula_sum 'Sc2 H2 Rh2'
_space_group_name_H-M_alt 'P m m a'
_space_group_IT_number 51
_cell_length_a 4.5270
_cell_length_b 3.1251
_cell_length_c 5.3612
_cell_angle_alpha 90.00
_cell_angle_beta 90.00
_cell_angle_gamma 90.00
loop_
_space_group_symop_operation_xyz
'x,y,z'
'-x,-y,-z'
'-x+1/2,-y,z'
'x+1/2,y,-z'
'x+1/2,-y,-z'
'-x+1/2,y,z'
'-x,y,-z'
'x,-y,z'
loop_
_atom_site_label
_atom_site_type_symbol
_atom_site_fract_x
_atom_site_fract_y
_atom_site_fract_z
Sc1 Sc 0.2500 0.0000 0.2434
H1 H 0.2500 0.0000 0.8475
Rh1 Rh 0.2500 0.5000 0.6892
```

Main lines, low angle first (2θ = 15–90°):
2theta  intensity
16.54  15
25.76  22
33.43  28
38.84  100
39.05  14
39.83  27
49.09  13
52.94  14
71.64  15
73.69  13

=====

Record 14
The following is a theoretical XRD peak list of CeGe2Sb. It was derived from the GGA-PBE geometry in Alexandria, using CuKα.

Structure:
```
data_CeGe2Sb
_chemical_formula_sum 'Ce1 Ge2 Sb1'
_space_group_name_H-M_alt 'P 4/m m m'
_space_group_IT_number 123
_space_group_name_Hall '-P 4 2'
_cell_length_a 4.5300
_cell_length_b 4.5300
_cell_length_c 4.3598
_cell_angle_alpha 90.00
_cell_angle_beta 90.00
_cell_angle_gamma 90.00
loop_
_atom_site_label
_atom_site_type_symbol
_atom_site_fract_x
_atom_site_fract_y
_atom_site_fract_z
Ce1 Ce 0.0000 0.0000 0.0000
Ge1 Ge 0.0000 0.5000 0.5000
Sb1 Sb 0.5000 0.5000 0.0000
```

Main lines, low angle first (2θ = 15–90°):
2theta  intensity
20.37  7
27.85  6
34.75  100
39.80  34
41.42  15
57.55  11
58.79  22
69.01  26
71.26  12
73.35  11